No. 1
This entry pairs a crystal structure of CuSb3Au with its calculated X-ray powder pattern. Radiation: Cu Kα X-rays. Structure: a DFT-relaxed cell (PBE, Alexandria).
Neutral-atom scattering factors, no anomalous dispersion.

Structure:
Cell: 7.008 7.008 5.447 Å, 90.00 90.00 120.00°
Element x y z (fractional)
1 Cu 0.000 0.000 0.000
2 Cu 0.000 0.000 0.500
3 Sb 0.370 0.063 0.250
4 Sb 0.370 0.307 0.750
5 Sb 0.693 0.063 0.750
6 Sb 0.693 0.630 0.250
7 Sb 0.937 0.307 0.250
8 Sb 0.937 0.630 0.750
9 Au 0.333 0.667 0.000
10 Au 0.333 0.667 0.500

Most intense lines, 10° ≤ 2θ ≤ 90°, sorted by position:
2θ 14.60, intensity 39; 2θ 29.43, intensity 63; 2θ 30.33, intensity 100; 2θ 36.15, intensity 48; 2θ 39.28, intensity 28; 2θ 42.02, intensity 96; 2θ 42.77, intensity 28; 2θ 44.80, intensity 59; 2θ 65.15, intensity 27; 2θ 71.14, intensity 23


No. 2
This entry pairs a crystal structure of KSn2F5 with its calculated X-ray powder pattern. Radiation: Cu Kα X-rays. Structure: a DFT-relaxed cell (PBE, Alexandria).
Neutral-atom scattering factors, no anomalous dispersion.

Structure:
Cell: 7.404 10.132 12.857 Å, 90.66 90.30 90.34°
Element x y z (fractional)
1 K 0.000 0.000 0.000
2 K 0.000 0.015 0.667
3 K 0.002 0.020 0.333
4 K 0.501 0.039 0.165
5 K 0.506 0.002 0.492
6 K 0.513 0.017 0.829
7 Sn 0.150 0.341 0.165
8 Sn 0.165 0.338 0.501
9 Sn 0.190 0.334 0.847
10 Sn 0.320 0.691 0.664
11 Sn 0.325 0.695 0.328
12 Sn 0.351 0.694 0.985
13 Sn 0.663 0.341 0.998
14 Sn 0.671 0.342 0.329
15 Sn 0.694 0.337 0.656
16 Sn 0.827 0.689 0.827
17 Sn 0.832 0.693 0.501
18 Sn 0.852 0.693 0.169
19 F 0.003 0.730 0.662
20 F 0.015 0.733 0.320
21 F 0.102 0.310 0.339
22 F 0.114 0.728 0.109
23 F 0.126 0.710 0.881
24 F 0.154 0.137 0.159
25 F 0.179 0.135 0.511
26 F 0.186 0.131 0.835
27 F 0.265 0.721 0.489
28 F 0.327 0.894 0.668
29 F 0.332 0.898 0.314
30 F 0.338 0.299 0.995
31 F 0.357 0.896 0.001
32 F 0.452 0.309 0.216
33 F 0.455 0.314 0.452
34 F 0.494 0.732 0.836
35 F 0.601 0.305 0.830
36 F 0.609 0.733 0.385
37 F 0.616 0.724 0.613
38 F 0.652 0.135 0.653
39 F 0.676 0.137 0.001
40 F 0.679 0.138 0.334
41 F 0.777 0.722 0.996
42 F 0.814 0.895 0.172
43 F 0.834 0.893 0.826
44 F 0.839 0.303 0.172
45 F 0.853 0.896 0.498
46 F 0.856 0.297 0.508
47 F 0.957 0.300 0.717
48 F 0.970 0.322 0.953

Most intense lines, 10° ≤ 2θ ≤ 90°, sorted by position:
2θ 17.51, intensity 71; 2θ 25.48, intensity 100; 2θ 25.57, intensity 95; 2θ 25.73, intensity 95; 2θ 26.39, intensity 94; 2θ 29.71, intensity 39; 2θ 29.91, intensity 38; 2θ 29.99, intensity 38; 2θ 42.17, intensity 69; 2θ 42.36, intensity 34